The following is a computed powder X-ray diffraction pattern of NaBH4. It was derived from a GGA-PBE-relaxed structure, using Cu Kα, 1.54184 Å.
Lines closer than 0.1° are merged.

Structural model:
Unit cell a=7.5400 b=4.2730 c=7.0214 alpha=90.00 beta=90.00 gamma=90.00
Atoms (fractional coordinates):
Na1 0.0108 0.2500 0.2484
Na2 0.4892 0.7500 0.7484
Na3 0.5108 0.2500 0.2516
Na4 0.9892 0.7500 0.7516
B1 0.2266 0.7500 0.0767
B2 0.2734 0.2500 0.5767
B3 0.7266 0.7500 0.4233
B4 0.7734 0.2500 0.9233
H1 0.1100 0.2500 0.5901
H2 0.1640 0.7500 0.2374
H3 0.1805 0.5151 0.9905
H4 0.1805 0.9849 0.9905
H5 0.3195 0.0151 0.4905
H6 0.3195 0.4849 0.4905
H7 0.3360 0.2500 0.7374
H8 0.3900 0.7500 0.0901
H9 0.6100 0.2500 0.9099
H10 0.6640 0.7500 0.2626
H11 0.6805 0.5151 0.5095
H12 0.6805 0.9849 0.5095
H13 0.8195 0.0151 0.0095
H14 0.8195 0.4849 0.0095
H15 0.8360 0.2500 0.7626
H16 0.8900 0.7500 0.4099

Top 10 peaks for 2θ = 10–90°, low angle first:
| hkl | 2theta | I (rel.) |
| --- | --- | --- |
| 2 0 0 | 23.60 | 13 |
| 0 1 1 | 24.39 | 46 |
| 0 0 2 | 25.37 | 19 |
| 1 1 1 | 27.14 | 19 |
| 2 1 1 | 34.19 | 100 |
| 2 0 2 | 34.92 | 52 |
| 0 2 0 | 42.30 | 17 |
| 0 1 3 | 44.12 | 29 |
| 4 1 1 | 54.81 | 14 |
| 2 2 2 | 55.98 | 19 |